[1]
Simulated powder diffraction line list of Sm3HoHg2 for Cu Kα X-rays, from a PBE-relaxed structure.
Kinematic intensities with the Lorentz-polarization factor, no thermal factor.

Crystal structure
```
Sm3HoHg2
1.0
5.224 0.000 0.000
0.000 9.442 0.000
0.000 0.000 7.063
Sm Ho Hg
6 2 4
Direct
0.000 0.053 0.000
0.000 0.329 0.337
0.000 0.671 0.837
0.000 0.947 0.500
0.500 0.176 0.688
0.500 0.824 0.188
0.500 0.447 0.028
0.500 0.553 0.528
0.000 0.350 0.782
0.000 0.650 0.282
0.500 0.152 0.246
0.500 0.848 0.746
```

The 12 most intense peaks (2θ = 10–90°), sorted by position:
- 2θ = 28.44°, I = 25
- 2θ = 30.56°, I = 23
- 2θ = 31.11°, I = 13
- 2θ = 31.64°, I = 31
- 2θ = 32.03°, I = 100
- 2θ = 33.23°, I = 90
- 2θ = 34.33°, I = 59
- 2θ = 42.17°, I = 19
- 2θ = 47.38°, I = 21
- 2θ = 60.05°, I = 20
- 2θ = 60.79°, I = 16
- 2θ = 72.36°, I = 13

[2]
Simulated powder diffraction line list of In4HgCl4 for Cu Kα X-rays, from a PBE-relaxed structure.
Kinematic intensities with the Lorentz-polarization factor, no thermal factor.

Crystal structure
```
In4HgCl4
1.0
7.259 -3.133 0.000
7.259 3.133 0.000
-7.231 0.000 7.259
In Hg Cl
4 1 4
Direct
0.104 0.104 0.411
0.308 0.308 0.205
0.692 0.692 0.795
0.896 0.896 0.589
0.000 0.000 0.000
0.167 0.167 0.755
0.415 0.415 0.584
0.585 0.585 0.416
0.833 0.833 0.245
```

The 12 most intense peaks (2θ = 10–90°), sorted by position:
- 2θ = 16.57°, I = 76
- 2θ = 24.03°, I = 45
- 2θ = 27.48°, I = 100
- 2θ = 28.49°, I = 47
- 2θ = 29.75°, I = 16
- 2θ = 34.60°, I = 28
- 2θ = 38.86°, I = 12
- 2θ = 38.98°, I = 11
- 2θ = 39.25°, I = 35
- 2θ = 39.99°, I = 72
- 2θ = 49.21°, I = 36
- 2θ = 66.24°, I = 15